Structure and simulated powder diffraction line list of SmVIr (a cell relaxed with PBE; Cu Kα (λ = 1.5418 Å)).
Peak positions follow from Bragg's law for the DFT cell and can differ from measured ones.

Principal peaks in the range 2θ = 10–90°, low angle first:
d = 3.862 Å, intensity 51.9; d = 2.670 Å, intensity 33.0; d = 2.446 Å, intensity 60.9; d = 2.439 Å, intensity 100.0; d = 2.197 Å, intensity 62.4; d = 2.062 Å, intensity 28.6; d = 1.632 Å, intensity 15.6; d = 1.577 Å, intensity 32.0; d = 1.494 Å, intensity 35.5; d = 1.469 Å, intensity 17.1

Cell and atoms:
```
6
Lattice="2.0624 -5.5025 0.0000 2.0624 5.5025 0.0000 0.0000 0.0000 5.3407" Properties=species:S:1:pos:R:3 pbc="T T T"
Sm 2.0624 3.1761 4.0055
Sm 2.0624 -3.1761 1.3352
V 2.0624 0.0000 0.0000
V 2.0624 0.0000 2.6703
Ir 2.0624 4.8315 1.3352
Ir 2.0624 -4.8315 4.0055
```

Structure and simulated powder diffraction line list of Li3Cu2F9 (a cell relaxed with PBE; Cu Kα (λ = 1.5418 Å)).
Peak positions follow from Bragg's law for the DFT cell and can differ from measured ones.

Principal peaks in the range 2θ = 10–90°, low angle first:
d = 6.686 Å, intensity 100.0; d = 4.641 Å, intensity 53.8; d = 3.813 Å, intensity 58.2; d = 3.343 Å, intensity 35.7; d = 2.713 Å, intensity 16.3; d = 2.487 Å, intensity 62.1; d = 2.297 Å, intensity 41.6; d = 2.091 Å, intensity 25.8; d = 1.713 Å, intensity 45.6; d = 1.547 Å, intensity 27.9

Cell and atoms:
```
28
Lattice="5.3595 0.0000 0.0000 -2.6798 4.6415 0.0000 0.0000 0.0000 13.3714" Properties=species:S:1:pos:R:3 pbc="T T T"
Li -0.8927 1.5463 3.3429
Li -1.7870 3.0952 10.0286
Li 1.7855 0.0000 3.3429
Li 0.8927 1.5463 10.0286
Li 3.5741 0.0000 10.0286
Li 1.7870 3.0952 3.3429
Cu 0.0000 3.0943 0.0000
Cu 0.0000 3.0943 6.6857
Cu 2.6798 1.5472 0.0000
Cu 2.6798 1.5472 6.6857
F -0.8901 1.5417 10.0286
F -0.9870 1.7095 1.0063
F -0.9870 1.7095 5.6794
F -1.6928 2.9320 7.6920
F -1.6928 2.9320 12.3651
F -1.7897 3.0998 3.3429
F 1.7802 0.0000 10.0286
F 0.8901 1.5417 3.3429
F 1.9739 0.0000 1.0063
F 1.9739 0.0000 5.6794
F 0.9870 1.7095 7.6920
F 0.9870 1.7095 12.3651
F 3.3856 0.0000 7.6920
F 3.3856 0.0000 12.3651
F 1.6928 2.9320 1.0063
F 1.6928 2.9320 5.6794
F 3.5794 0.0000 3.3429
F 1.7897 3.0998 10.0286
```

Structure and simulated powder diffraction line list of SmU3Se8 (a cell relaxed with PBE; Cu Kα (λ = 1.5418 Å)).
Peak positions follow from Bragg's law for the DFT cell and can differ from measured ones.

Principal peaks in the range 2θ = 10–90°, low angle first:
d = 6.451 Å, intensity 69.6; d = 6.301 Å, intensity 72.7; d = 3.501 Å, intensity 39.8; d = 3.477 Å, intensity 47.7; d = 3.151 Å, intensity 71.3; d = 2.765 Å, intensity 100.0; d = 2.405 Å, intensity 35.3; d = 2.099 Å, intensity 65.8; d = 2.084 Å, intensity 77.2; d = 1.276 Å, intensity 28.1

Cell and atoms:
```
24
Lattice="8.3379 0.0000 0.0000 -4.1690 7.2209 0.0000 0.0000 0.0000 12.9024" Properties=species:S:1:pos:R:3 pbc="T T T"
Sm 0.0000 4.8139 0.0000
Sm 4.1690 2.4070 6.4512
U 0.0000 2.4236 9.4123
U -2.0701 6.0091 9.4123
U 2.0989 1.2118 2.9611
U 2.0701 6.0091 9.4123
U 6.2391 1.2118 2.9611
U 4.1690 4.7973 2.9611
Se 0.0000 0.0000 4.4243
Se 0.0000 0.0000 10.8755
Se -1.9399 3.6939 10.9801
Se 0.0000 2.2743 1.4399
Se -2.1994 6.0837 1.4399
Se 1.9696 1.1371 7.8911
Se 0.0000 4.8139 7.8919
Se 1.9399 3.6939 10.9801
Se 0.0000 7.0539 10.9801
Se 4.1690 0.1670 4.5289
Se 2.2291 3.5269 4.5289
Se 4.1690 2.4070 1.4407
Se 2.1994 6.0837 1.4399
Se 6.3684 1.1371 7.8911
Se 4.1690 4.9466 7.8911
Se 6.1088 3.5269 4.5289
```

Structure and simulated powder diffraction line list of SmAl8Co2 (a cell relaxed with PBE; Cu Kα (λ = 1.5418 Å)).
Peak positions follow from Bragg's law for the DFT cell and can differ from measured ones.

Principal peaks in the range 2θ = 10–90°, low angle first:
d = 3.984 Å, intensity 97.1; d = 3.455 Å, intensity 32.2; d = 3.135 Å, intensity 32.0; d = 2.611 Å, intensity 86.5; d = 2.464 Å, intensity 100.0; d = 2.416 Å, intensity 38.6; d = 2.045 Å, intensity 37.6; d = 1.993 Å, intensity 50.3; d = 1.951 Å, intensity 40.5; d = 1.752 Å, intensity 25.5

Cell and atoms:
```
44
Lattice="12.4313 0.0000 0.0000 0.0000 14.3857 0.0000 0.0000 0.0000 3.9854" Properties=species:S:1:pos:R:3 pbc="T T T"
Sm 1.9760 2.5979 0.0000
Sm 4.2396 9.7908 0.0000
Sm 8.1917 4.5949 0.0000
Sm 10.4552 11.7878 0.0000
Al 0.0000 0.0000 0.0000
Al 0.0000 7.1928 1.9927
Al 0.3182 12.4856 1.9927
Al 0.5835 4.6063 1.9927
Al 1.2028 10.7511 0.0000
Al 1.9802 6.5572 0.0000
Al 1.9865 8.9347 1.9927
Al 2.0981 0.1199 1.9927
Al 2.9409 11.8961 1.9927
Al 3.2748 4.7033 1.9927
Al 4.1175 7.3127 1.9927
Al 4.2291 1.7419 1.9927
Al 4.2355 13.7500 0.0000
Al 5.0128 3.5583 0.0000
Al 5.6322 11.7992 1.9927
Al 5.8974 5.2928 1.9927
Al 6.2156 0.0000 1.9927
Al 6.2156 7.1928 0.0000
Al 6.5338 9.0929 1.9927
Al 6.7991 2.5865 1.9927
Al 7.4185 10.8274 0.0000
Al 8.1958 0.6357 0.0000
Al 8.2021 12.6438 1.9927
Al 8.3138 7.0730 1.9927
Al 9.1565 9.6824 1.9927
Al 9.4904 2.4896 1.9927
Al 10.3331 14.2658 1.9927
Al 10.4448 5.4510 1.9927
Al 10.4511 7.8285 0.0000
Al 11.2284 3.6345 0.0000
Al 11.8478 9.7794 1.9927
Al 12.1130 1.9000 1.9927
Co 0.4332 8.5572 0.0000
Co 1.8928 13.0025 0.0000
Co 4.3228 5.8096 0.0000
Co 5.7825 1.3644 0.0000
Co 6.6488 13.0213 0.0000
Co 8.1084 8.5761 0.0000
Co 10.5385 1.3832 0.0000
Co 11.9981 5.8285 0.0000
```

Structure and simulated powder diffraction line list of Ca2Pr5Sc (a cell relaxed with PBE; Cu Kα (λ = 1.5418 Å)).
Peak positions follow from Bragg's law for the DFT cell and can differ from measured ones.

Principal peaks in the range 2θ = 10–90°, low angle first:
d = 5.333 Å, intensity 11.2; d = 3.650 Å, intensity 10.3; d = 3.012 Å, intensity 100.0; d = 2.666 Å, intensity 16.2; d = 2.581 Å, intensity 33.8; d = 1.855 Å, intensity 21.8; d = 1.825 Å, intensity 11.9; d = 1.598 Å, intensity 11.4; d = 1.561 Å, intensity 27.4; d = 1.506 Å, intensity 10.9

Cell and atoms:
```
8
Lattice="-2.5813 2.5813 10.6659 2.5813 -2.5813 10.6659 2.5813 2.5813 -10.6659" Properties=species:S:1:pos:R:3 pbc="T T T"
Ca 0.0000 0.0000 5.3161
Ca 0.0000 0.0000 16.0157
Pr 0.0000 0.0000 0.0000
Pr 2.5813 0.0000 2.4783
Pr 2.5813 0.0000 8.1876
Pr 0.0000 2.5813 2.4783
Pr 0.0000 2.5813 8.1876
Sc 0.0000 0.0000 10.6659
```

Structure and simulated powder diffraction line list of FeAg2 (a cell relaxed with PBE; Cu Kα (λ = 1.5418 Å)).
Peak positions follow from Bragg's law for the DFT cell and can differ from measured ones.

Principal peaks in the range 2θ = 10–90°, low angle first:
d = 2.656 Å, intensity 14.8; d = 2.451 Å, intensity 17.2; d = 2.351 Å, intensity 59.0; d = 2.314 Å, intensity 43.5; d = 2.278 Å, intensity 100.0; d = 2.077 Å, intensity 77.5; d = 1.860 Å, intensity 22.8; d = 1.393 Å, intensity 17.8; d = 1.257 Å, intensity 13.9; d = 1.229 Å, intensity 13.4

Cell and atoms:
```
6
Lattice="4.8343 -1.4414 0.0000 4.8343 1.4414 0.0000 -2.7511 0.0000 6.9112" Properties=species:S:1:pos:R:3 pbc="T T T"
Fe 1.6238 0.0000 0.4821
Fe 5.2935 0.0000 6.4291
Ag -0.0435 0.0000 4.1021
Ag 2.5872 0.0000 5.3550
Ag 4.3302 0.0000 1.5562
Ag 6.9608 0.0000 2.8091
```